No. 1
Diffraction record for Rb2NaBiBr6. The powder XRD pattern is theoretical, not measured: it uses a crystal structure in the Materials Project, relaxed with GGA-PBE and CuKα.

The 10 most intense peaks (10° ≤ 2θ ≤ 90°), by angle:
2θ/deg, intensity
13.3, 41
15.3, 32
21.8, 34
25.6, 25
26.7, 47
31.0, 100
44.3, 73
55.1, 25
73.3, 33
81.6, 25

Atomic structure:
```
10
Lattice="0.000 5.779 5.779 5.779 0.000 5.779 5.779 5.779 0.000" Properties=species:S:1:pos:R:3 pbc="T T T"
Rb 2.889 2.889 2.889
Rb 8.668 8.668 8.668
Na 0.000 0.000 0.000
Bi 5.779 5.779 5.779
Br 5.779 5.779 2.914
Br 5.779 2.914 5.779
Br 8.643 5.779 5.779
Br 2.914 5.779 5.779
Br 5.779 8.643 5.779
Br 5.779 5.779 8.643
```


No. 2
Diffraction record for OsO4. The powder XRD pattern is theoretical, not measured: it uses a crystal structure in the Materials Project, relaxed with GGA-PBE and CuKα.

The 10 most intense peaks (10° ≤ 2θ ≤ 90°), by angle:
2θ/deg, intensity
20.7, 38
21.5, 100
21.8, 29
25.9, 39
33.6, 21
34.7, 20
38.1, 12
43.2, 17
43.8, 13
54.9, 10

Atomic structure:
```
5
Lattice="4.666 -2.396 0.000 4.666 2.396 0.000 -2.403 0.000 4.301" Properties=species:S:1:pos:R:3 pbc="T T T"
Os 0.000 0.000 0.000
O 3.296 1.395 0.303
O 3.633 1.395 3.998
O 1.970 -1.401 2.926
O 4.958 -1.401 1.375
```


No. 3
Diffraction record for Au. The powder XRD pattern is theoretical, not measured: it uses a crystal structure in the Materials Project, relaxed with GGA-PBE and CuKα.

The 10 most intense peaks (10° ≤ 2θ ≤ 90°), by angle:
2θ/deg, intensity
32.7, 69
33.5, 83
33.6, 88
36.5, 100
41.1, 71
41.3, 68
43.3, 37
45.4, 60
45.8, 49
80.0, 36

Atomic structure:
```
2
Lattice="2.815 0.000 0.000 -0.013 2.820 0.000 -1.138 -1.185 4.924" Properties=species:S:1:pos:R:3 pbc="T T T"
Au 0.173 0.143 1.349
Au 1.492 1.492 3.575
```


No. 4
Diffraction record for MnC8N6. The powder XRD pattern is theoretical, not measured: it uses a crystal structure in the Materials Project, relaxed with GGA-PBE and CuKα.

The 10 most intense peaks (10° ≤ 2θ ≤ 90°), by angle:
2θ/deg, intensity
14.1, 59
15.6, 40
21.1, 100
24.6, 13
29.3, 11
32.7, 17
34.6, 9
41.3, 15
42.9, 7
43.0, 12

Atomic structure:
```
15
Lattice="6.263 -3.613 0.000 6.263 3.613 0.000 -0.018 0.000 5.692" Properties=species:S:1:pos:R:3 pbc="T T T"
Mn 0.000 0.000 0.000
C 2.764 0.000 4.436
C 4.857 1.207 4.433
C 4.160 0.000 4.290
C 7.650 1.207 1.259
C 4.857 -1.207 4.433
C 8.347 0.000 1.401
C 7.650 -1.207 1.259
C 9.743 0.000 1.256
N 1.612 0.000 4.657
N 5.433 2.205 4.653
N 7.074 2.205 1.038
N 5.433 -2.205 4.653
N 7.074 -2.205 1.038
N 10.895 0.000 1.035
```